The following is a computed X-ray powder pattern of Ce3PmCo8. It was derived from a cell relaxed with GGA-PBE, using Cu Kα (λ = 1.5418 Å).
Peak positions follow from Bragg's law for the DFT cell and can differ from measured ones.

Lattice parameters (Å, degrees): 5.0230 5.0230 24.5766 90.00 90.00 120.00
Space group R3m (No. 160, hexagonal axes)
Asymmetric unit:
Ce  0.0000  0.0000  0.0000
Ce  0.0000  0.0000  0.1236
Ce  0.0000  0.0000  0.6286
Pm  0.0000  0.0000  0.5023
Co  0.0000  0.0000  0.3139
Co  0.0000  0.0000  0.8141
Co  0.0004  0.5002  0.5648
Co  0.1670  0.3339  0.3966

Main lines, in order of rising 2θ (2θ = 15–90°):
2θ (°)  I/Imax  (hkl)
21.68  10  0 1 2
35.77  61  1 1 0
42.21  100  2 0 2
44.18  17  0 2 4
56.49  3  1 2 2
64.27  22  3 0 0
68.69  30  3 0 6
75.78  22  2 2 0
79.93  2  3 1 2
86.73  10  3 1 8

***

The following is a computed X-ray powder pattern of Ce3PmCo2. It was derived from a cell relaxed with GGA-PBE, using Cu Kα (λ = 1.5418 Å).
Peak positions follow from Bragg's law for the DFT cell and can differ from measured ones.

Lattice parameters (Å, degrees): 16.031 3.915 9.579 90.00 116.53 90.00
Space group C2/m (No. 12)
Asymmetric unit:
Ce  0.016  0.000  0.368
Ce  0.159  0.500  0.505
Ce  0.163  0.500  0.881
Pm  0.125  0.000  0.139
Co  0.017  0.500  0.869
Co  0.185  0.000  0.705

Main lines, in order of rising 2θ (2θ = 15–90°):
2θ (°)  I/Imax  (hkl)
26.89  38  1 1 1
30.05  72  4 0 -3
30.98  99  3 1 -2
33.42  92  1 1 2
34.08  100  3 1 1
36.39  42  5 1 -1
36.90  63  5 1 -2
37.16  88  1 1 -3
37.63  58  6 0 0
46.38  65  0 2 0

***

Q: What is the formula in the second record?
A: Ce3PmCo2